1.
Diffraction record for Ac7SnS5. The powder diffraction line list is calculated, not measured: it uses the PBE geometry in Alexandria and Cu Kα, 1.54184 Å.
Kinematic intensities with the Lorentz-polarization factor, no thermal factor.

Main lines, sorted by position (5 to 70 degrees two-theta):
2θ = 25.1°, I 53.1; 2θ = 27.2°, I 100.0; 2θ = 28.5°, I 61.1; 2θ = 29.5°, I 45.7; 2θ = 40.6°, I 25.0; 2θ = 49.6°, I 38.1

Cell and atoms:
```
26
Lattice="7.069 -2.221 0.000 7.069 2.221 0.000 -0.021 0.000 25.861" Properties=species:S:1:pos:R:3 pbc="T T T"
Ac 0.400 0.000 6.468
Ac 1.896 0.000 13.852
Ac 1.884 0.000 24.939
Ac 4.570 0.000 4.484
Ac 4.557 0.000 8.444
Ac 5.682 0.000 23.044
Ac 5.695 0.000 15.746
Ac 8.423 0.000 10.115
Ac 8.436 0.000 2.817
Ac 9.561 0.000 17.417
Ac 9.548 0.000 21.377
Ac 12.234 0.000 0.922
Ac 12.222 0.000 12.009
Ac 13.718 0.000 19.393
Sn 4.151 0.000 19.404
Sn 9.967 0.000 6.457
S 0.533 0.000 22.258
S 0.547 0.000 16.533
S 3.247 0.000 1.780
S 3.236 0.000 11.149
S 7.069 0.000 0.000
S 7.059 0.000 12.930
S 10.882 0.000 14.712
S 10.871 0.000 24.081
S 13.571 0.000 9.328
S 13.585 0.000 3.603
```


2.
Diffraction record for K2PuRuO6. The powder diffraction line list is calculated, not measured: it uses the PBE geometry in Alexandria and Cu Kα, 1.54184 Å.
Kinematic intensities with the Lorentz-polarization factor, no thermal factor.

Main lines, sorted by position (5 to 70 degrees two-theta):
2θ = 18.8°, I 22.6; 2θ = 21.7°, I 67.1; 2θ = 30.9°, I 100.0; 2θ = 44.3°, I 32.5; 2θ = 49.9°, I 30.5; 2θ = 55.0°, I 39.8

Cell and atoms:
```
10
Lattice="0.000 4.087 4.087 4.087 0.000 4.087 4.087 4.087 0.000" Properties=species:S:1:pos:R:3 pbc="T T T"
K 2.043 2.043 2.043
K 6.130 6.130 6.130
Pu 0.000 0.000 0.000
Ru 4.087 4.087 4.087
O 4.087 4.087 2.081
O 4.087 2.081 4.087
O 6.093 4.087 4.087
O 2.081 4.087 4.087
O 4.087 6.093 4.087
O 4.087 4.087 6.093
```


Question: Number 1 is which compound?
Answer: Ac7SnS5


Question: Which formula does entry 2 have?
Answer: K2PuRuO6